[1]
Starting from a structure optimized by DFT (GGA-PBE), the powder diffractogram of Cs2Sn2Se2O was simulated for Cu Kα (weighted mean of Kα1 and Kα2).
Kinematic intensities with the Lorentz-polarization factor, no thermal factor.

Atomic structure:
```
Cs2Sn2Se2O
1.0
6.317 0.000 0.000
-1.682 6.390 0.000
-1.451 -2.259 6.774
Cs Sn Se O
2 2 2 1
Direct
0.232 0.116 0.291
0.768 0.884 0.709
0.246 0.560 0.858
0.754 0.440 0.142
0.374 0.185 0.827
0.626 0.815 0.173
0.000 0.500 0.000
```

Peak list (10 most intense, 10 to 90 degrees two-theta, in order of rising 2θ)
| 2θ/deg | I/Imax |
| --- | --- |
| 13.07 | 40 |
| 21.54 | 38 |
| 22.57 | 30 |
| 22.95 | 67 |
| 26.31 | 31 |
| 26.44 | 40 |
| 28.51 | 100 |
| 30.50 | 71 |
| 34.08 | 34 |
| 44.86 | 38 |

[2]
Starting from a structure optimized by DFT (GGA-PBE), the powder diffractogram of CsSrSeO4 was simulated for Cu Kα (weighted mean of Kα1 and Kα2).
Kinematic intensities with the Lorentz-polarization factor, no thermal factor.

Atomic structure:
```
CsSrSeO4
1.0
0.000 4.753 4.753
4.753 0.000 4.753
4.753 4.753 0.000
Cs Sr Se O
1 1 1 4
Direct
0.000 0.000 0.000
0.250 0.250 0.250
0.500 0.500 0.500
0.391 0.391 0.391
0.391 0.391 0.826
0.391 0.826 0.391
0.826 0.391 0.391
```

Peak list (10 most intense, 10 to 90 degrees two-theta, in order of rising 2θ)
| 2θ/deg | I/Imax |
| --- | --- |
| 16.15 | 28 |
| 18.67 | 24 |
| 26.52 | 100 |
| 31.21 | 13 |
| 37.86 | 12 |
| 46.82 | 40 |
| 54.62 | 17 |
| 61.72 | 17 |
| 74.74 | 21 |
| 86.97 | 11 |

[3]
Starting from a structure optimized by DFT (GGA-PBE), the powder diffractogram of CsYSe2O6 was simulated for Cu Kα (weighted mean of Kα1 and Kα2).
Kinematic intensities with the Lorentz-polarization factor, no thermal factor.

Atomic structure:
```
CsYSe2O6
1.0
9.003 0.000 0.000
0.000 9.003 0.000
0.000 0.000 9.003
Cs Y Se O
4 4 8 24
Direct
0.000 0.000 0.000
0.000 0.500 0.500
0.500 0.000 0.500
0.500 0.500 0.000
0.000 0.000 0.500
0.000 0.500 0.000
0.500 0.000 0.000
0.500 0.500 0.500
0.235 0.235 0.235
0.235 0.265 0.735
0.265 0.735 0.235
0.265 0.765 0.735
0.735 0.235 0.265
0.735 0.265 0.765
0.765 0.735 0.265
0.765 0.765 0.765
0.080 0.182 0.657
0.080 0.318 0.157
0.157 0.080 0.318
0.157 0.420 0.818
0.182 0.657 0.080
0.182 0.843 0.580
0.318 0.157 0.080
0.318 0.343 0.580
0.343 0.580 0.318
0.343 0.920 0.818
0.420 0.682 0.657
0.420 0.818 0.157
0.580 0.182 0.843
0.580 0.318 0.343
0.657 0.080 0.182
0.657 0.420 0.682
0.682 0.657 0.420
0.682 0.843 0.920
0.818 0.157 0.420
0.818 0.343 0.920
0.843 0.580 0.182
0.843 0.920 0.682
0.920 0.682 0.843
0.920 0.818 0.343
```

Peak list (10 most intense, 10 to 90 degrees two-theta, in order of rising 2θ)
| 2θ/deg | I/Imax |
| --- | --- |
| 22.08 | 4 |
| 28.03 | 100 |
| 29.77 | 5 |
| 33.00 | 4 |
| 40.06 | 15 |
| 49.60 | 41 |
| 57.94 | 13 |
| 65.58 | 17 |
| 72.77 | 4 |
| 79.70 | 17 |

[4]
Starting from a structure optimized by DFT (GGA-PBE), the powder diffractogram of Cs6Si2O7 was simulated for Cu Kα (weighted mean of Kα1 and Kα2).
Kinematic intensities with the Lorentz-polarization factor, no thermal factor.

Atomic structure:
```
Cs6Si2O7
1.0
7.284 0.000 0.000
0.000 9.640 0.000
-7.279 0.000 9.813
Cs Si O
12 4 14
Direct
0.021 0.144 0.403
0.021 0.356 0.903
0.205 0.527 0.455
0.205 0.973 0.955
0.388 0.224 0.273
0.388 0.276 0.773
0.612 0.724 0.227
0.612 0.776 0.727
0.795 0.027 0.045
0.795 0.473 0.545
0.979 0.644 0.097
0.979 0.856 0.597
0.341 0.628 0.882
0.341 0.872 0.382
0.659 0.128 0.618
0.659 0.372 0.118
0.109 0.654 0.874
0.109 0.846 0.374
0.278 0.576 0.734
0.278 0.924 0.234
0.496 0.231 0.062
0.496 0.269 0.562
0.500 0.000 0.500
0.500 0.500 0.000
0.504 0.731 0.438
0.504 0.769 0.938
0.722 0.076 0.766
0.722 0.424 0.266
0.891 0.154 0.626
0.891 0.346 0.126
```

Peak list (10 most intense, 10 to 90 degrees two-theta, in order of rising 2θ)
| 2θ/deg | I/Imax |
| --- | --- |
| 23.92 | 45 |
| 25.91 | 73 |
| 26.16 | 89 |
| 27.71 | 79 |
| 28.72 | 51 |
| 29.25 | 72 |
| 29.95 | 100 |
| 30.58 | 45 |
| 31.38 | 77 |
| 35.60 | 46 |

[5]
Starting from a structure optimized by DFT (GGA-PBE), the powder diffractogram of Cs5SiO4 was simulated for Cu Kα (weighted mean of Kα1 and Kα2).
Kinematic intensities with the Lorentz-polarization factor, no thermal factor.

Atomic structure:
```
Cs5SiO4
1.0
8.058 0.000 0.000
0.000 10.350 0.000
0.000 0.000 6.764
Cs Si O
10 2 8
Direct
0.009 0.071 0.250
0.009 0.429 0.250
0.250 0.750 0.238
0.491 0.071 0.250
0.491 0.429 0.250
0.509 0.571 0.750
0.509 0.929 0.750
0.750 0.250 0.762
0.991 0.571 0.750
0.991 0.929 0.750
0.250 0.250 0.760
0.750 0.750 0.240
0.079 0.250 0.616
0.250 0.117 0.904
0.250 0.383 0.904
0.421 0.250 0.616
0.579 0.750 0.384
0.750 0.617 0.096
0.750 0.883 0.096
0.921 0.750 0.384
```

Peak list (10 most intense, 10 to 90 degrees two-theta, in order of rising 2θ)
| 2θ/deg | I/Imax |
| --- | --- |
| 22.06 | 25 |
| 26.35 | 62 |
| 27.16 | 77 |
| 28.07 | 56 |
| 29.05 | 100 |
| 36.78 | 32 |
| 38.88 | 52 |
| 48.22 | 23 |
| 51.44 | 26 |
| 54.46 | 29 |

[6]
Starting from a structure optimized by DFT (GGA-PBE), the powder diffractogram of Cs3SiO4 was simulated for Cu Kα (weighted mean of Kα1 and Kα2).
Kinematic intensities with the Lorentz-polarization factor, no thermal factor.

Atomic structure:
```
Cs3SiO4
1.0
-3.260 4.424 3.394
3.260 -4.424 3.394
3.260 4.424 -3.394
Cs Si O
3 1 4
Direct
0.000 0.000 0.000
0.251 0.491 0.760
0.732 0.491 0.240
0.444 0.944 0.500
0.304 0.011 0.708
0.304 0.596 0.292
0.430 0.083 0.347
0.736 0.083 0.653
```

Peak list (10 most intense, 10 to 90 degrees two-theta, in order of rising 2θ)
| 2θ/deg | I/Imax |
| --- | --- |
| 26.26 | 28 |
| 27.36 | 28 |
| 27.68 | 100 |
| 38.28 | 25 |
| 40.79 | 9 |
| 47.22 | 21 |
| 48.56 | 20 |
| 57.17 | 13 |
| 62.91 | 10 |
| 66.44 | 9 |

[7]
Starting from a structure optimized by DFT (GGA-PBE), the powder diffractogram of Cs4Si3O8 was simulated for Cu Kα (weighted mean of Kα1 and Kα2).
Kinematic intensities with the Lorentz-polarization factor, no thermal factor.

Atomic structure:
```
Cs4Si3O8
1.0
9.515 0.000 0.000
-4.612 10.316 0.000
-2.544 -4.120 12.801
Cs Si O
16 12 32
Direct
0.041 0.272 0.257
0.066 0.098 0.671
0.075 0.455 0.860
0.375 0.259 0.493
0.382 0.900 0.329
0.390 0.076 0.909
0.395 0.731 0.750
0.434 0.558 0.158
0.566 0.442 0.842
0.605 0.269 0.250
0.610 0.924 0.091
0.618 0.100 0.671
0.625 0.741 0.507
0.925 0.545 0.140
0.934 0.902 0.329
0.959 0.728 0.743
0.125 0.401 0.573
0.135 0.206 0.984
0.181 0.048 0.143
0.191 0.790 0.022
0.194 0.860 0.558
0.197 0.599 0.435
0.803 0.401 0.565
0.806 0.140 0.442
0.809 0.210 0.978
0.819 0.952 0.857
0.865 0.794 0.016
0.875 0.599 0.427
0.002 0.458 0.612
0.010 0.247 0.486
0.013 0.268 0.016
0.018 0.053 0.895
0.215 0.176 0.091
0.222 0.501 0.507
0.234 0.975 0.500
0.239 0.714 0.100
0.250 0.402 0.669
0.250 0.913 0.684
0.251 0.782 0.919
0.252 0.108 0.267
0.264 0.959 0.088
0.271 0.303 0.944
0.273 0.754 0.518
0.280 0.593 0.345
0.720 0.407 0.655
0.727 0.246 0.482
0.729 0.697 0.056
0.736 0.041 0.912
0.748 0.892 0.733
0.749 0.218 0.081
0.750 0.087 0.316
0.750 0.598 0.331
0.761 0.286 0.900
0.766 0.025 0.500
0.778 0.499 0.493
0.785 0.824 0.909
0.982 0.947 0.105
0.987 0.732 0.984
0.990 0.753 0.514
0.998 0.542 0.388
```

Peak list (10 most intense, 10 to 90 degrees two-theta, in order of rising 2θ)
| 2θ/deg | I/Imax |
| --- | --- |
| 25.17 | 39 |
| 25.45 | 53 |
| 25.70 | 100 |
| 25.95 | 40 |
| 26.15 | 48 |
| 28.25 | 83 |
| 30.17 | 24 |
| 37.32 | 17 |
| 37.52 | 18 |
| 37.83 | 23 |

[8]
Starting from a structure optimized by DFT (GGA-PBE), the powder diffractogram of Cs4SiO4 was simulated for Cu Kα (weighted mean of Kα1 and Kα2).
Kinematic intensities with the Lorentz-polarization factor, no thermal factor.

Atomic structure:
```
Cs4SiO4
1.0
7.086 0.000 0.000
0.000 19.022 0.000
-2.586 0.000 6.677
Cs Si O
16 4 16
Direct
0.131 0.197 0.171
0.131 0.303 0.671
0.199 0.506 0.796
0.199 0.994 0.296
0.342 0.571 0.328
0.342 0.929 0.828
0.367 0.700 0.854
0.367 0.800 0.354
0.633 0.200 0.646
0.633 0.300 0.146
0.658 0.071 0.172
0.658 0.429 0.672
0.801 0.006 0.704
0.801 0.494 0.204
0.869 0.697 0.329
0.869 0.803 0.829
0.249 0.120 0.767
0.249 0.380 0.267
0.751 0.620 0.733
0.751 0.880 0.233
0.032 0.146 0.592
0.032 0.354 0.092
0.205 0.067 0.933
0.205 0.433 0.433
0.382 0.190 0.893
0.382 0.310 0.393
0.397 0.077 0.667
0.397 0.423 0.167
0.603 0.577 0.833
0.603 0.923 0.333
0.618 0.690 0.607
0.618 0.810 0.107
0.795 0.567 0.567
0.795 0.933 0.067
0.968 0.646 0.908
0.968 0.854 0.408
```

Peak list (10 most intense, 10 to 90 degrees two-theta, in order of rising 2θ)
| 2θ/deg | I/Imax |
| --- | --- |
| 26.70 | 25 |
| 27.01 | 19 |
| 27.12 | 39 |
| 27.40 | 40 |
| 27.94 | 100 |
| 29.07 | 58 |
| 30.43 | 39 |
| 32.38 | 25 |
| 34.66 | 19 |
| 42.76 | 27 |

[9]
Starting from a structure optimized by DFT (GGA-PBE), the powder diffractogram of CsSiO was simulated for Cu Kα (weighted mean of Kα1 and Kα2).
Kinematic intensities with the Lorentz-polarization factor, no thermal factor.

Atomic structure:
```
CsSiO
1.0
2.734 -7.497 0.000
2.734 7.497 0.000
0.000 0.000 7.693
Cs Si O
4 4 4
Direct
0.150 0.850 0.940
0.350 0.650 0.440
0.650 0.350 0.560
0.850 0.150 0.060
0.051 0.949 0.365
0.449 0.551 0.865
0.551 0.449 0.135
0.949 0.051 0.635
0.244 0.256 0.750
0.256 0.244 0.250
0.744 0.756 0.750
0.756 0.744 0.250
```

Peak list (10 most intense, 10 to 90 degrees two-theta, in order of rising 2θ)
| 2θ/deg | I/Imax |
| --- | --- |
| 20.79 | 31 |
| 23.73 | 13 |
| 26.80 | 100 |
| 29.00 | 34 |
| 32.76 | 19 |
| 33.38 | 16 |
| 37.05 | 14 |
| 40.85 | 13 |
| 47.07 | 21 |
| 54.91 | 19 |